1.
Structure and computed powder XRD pattern of CsUTe2O (a DFT-relaxed cell (GGA-PBE, Alexandria); Cu Kα X-rays).
Kinematic intensities with the Lorentz-polarization factor, no thermal factor.

Cell lengths 8.473, 4.547, 10.433 Å; angles 90.00, 107.51, 90.00 degrees
Space group P2_1/m (No. 11)
Unique sites:
Cs1 0.169 0.250 0.312
U1 0.312 0.250 0.829
Te1 0.309 0.750 0.036
Te2 0.342 0.750 0.645
O1 0.082 0.250 0.771

Main lines, by angle (10° ≤ 2θ ≤ 90°):
2θ 10.9, rel. 14, hkl 1 0 0; 2θ 11.9, rel. 37, hkl 1 0 -1; 2θ 17.9, rel. 15, hkl 0 0 2; 2θ 22.0, rel. 29, hkl 2 0 0; 2θ 26.2, rel. 23, hkl 2 0 1; 2θ 26.6, rel. 100, hkl 0 1 2; 2θ 32.5, rel. 15, hkl 1 1 -3; 2θ 35.4, rel. 17, hkl 2 1 -3; 2θ 39.6, rel. 18, hkl 0 2 0; 2θ 44.9, rel. 16, hkl 2 1 3



2.
Structure and computed powder XRD pattern of Y5Ho2Th4 (a DFT-relaxed cell (GGA-PBE, Alexandria); Cu Kα X-rays).
Kinematic intensities with the Lorentz-polarization factor, no thermal factor.

Cell lengths 16.779, 6.666, 6.575 Å; angles 90.00, 98.88, 90.00 degrees
Space group C2/m (No. 12)
Unique sites:
Y1 0.000 0.000 0.000
Y2 0.087 0.260 0.408
Ho1 0.198 0.000 0.822
Th1 0.095 0.500 0.911
Th2 0.249 0.000 0.337

Main lines, by angle (10° ≤ 2θ ≤ 90°):
2θ 10.7, rel. 31, hkl 2 0 0; 2θ 20.4, rel. 30, hkl 1 1 1; 2θ 26.7, rel. 47, hkl 0 2 0; 2θ 28.9, rel. 33, hkl 2 2 0; 2θ 30.1, rel. 99, hkl 5 1 0; 2θ 31.1, rel. 73, hkl 2 0 2; 2θ 31.4, rel. 72, hkl 5 1 -1; 2θ 32.4, rel. 32, hkl 6 0 0; 2θ 32.6, rel. 100, hkl 3 1 -2; 2θ 32.8, rel. 70, hkl 2 2 1



3.
Structure and computed powder XRD pattern of KAc2PaS6 (a DFT-relaxed cell (GGA-PBE, Alexandria); Cu Kα X-rays).
Kinematic intensities with the Lorentz-polarization factor, no thermal factor.

Cell lengths 7.4742, 7.4742, 19.5572 Å; angles 90.00, 90.00, 120.00 degrees
Space group R3 (No. 146, hexagonal axes)
Unique sites:
K1 0.0000 0.0000 0.0000
Ac1 0.0000 0.0000 0.2125
Ac2 0.0000 0.0000 0.7272
Pa1 0.0000 0.0000 0.5238
S1 0.0404 0.3442 0.1210
S2 0.0784 0.6943 0.2788

Main lines, by angle (10° ≤ 2θ ≤ 90°):
2θ 14.4, rel. 32, hkl 1 0 1; 2θ 16.4, rel. 54, hkl 0 1 2; 2θ 22.8, rel. 87, hkl 1 0 4; 2θ 23.8, rel. 100, hkl 1 1 0; 2θ 27.5, rel. 26, hkl 1 1 3; 2θ 33.2, rel. 42, hkl 0 2 4; 2θ 36.6, rel. 74, hkl 1 1 6; 2θ 41.3, rel. 45, hkl 2 1 4; 2θ 41.9, rel. 43, hkl 3 0 0; 2θ 48.7, rel. 34, hkl 2 2 0



4.
Structure and computed powder XRD pattern of Pm5PrY12 (a DFT-relaxed cell (GGA-PBE, Alexandria); Cu Kα X-rays).
Kinematic intensities with the Lorentz-polarization factor, no thermal factor.

Cell lengths 10.794, 5.098, 10.806 Å; angles 90.00, 90.16, 90.00 degrees
Space group P2/m (No. 10)
Unique sites:
Pm1 0.000 0.000 0.000
Pm2 0.167 0.500 0.833
Pm3 0.333 0.000 0.667
Pr1 0.500 0.500 0.500
Y1 0.000 0.000 0.333
Y2 0.166 0.500 0.500
Y3 0.167 0.500 0.167
Y4 0.332 0.000 0.332
Y5 0.334 0.000 0.000
Y6 0.500 0.500 0.166

Main lines, by angle (10° ≤ 2θ ≤ 90°):
2θ 30.4, rel. 100, hkl 3 1 0; 2θ 35.2, rel. 34, hkl 0 2 0; 2θ 35.3, rel. 17, hkl 3 0 3; 2θ 50.7, rel. 29, hkl 3 2 3; 2θ 60.2, rel. 28, hkl 3 3 0; 2θ 60.4, rel. 14, hkl 6 1 3; 2θ 63.2, rel. 12, hkl 6 2 0; 2θ 82.5, rel. 8, hkl 0 1 9; 2θ 82.6, rel. 8, hkl 9 1 0; 2θ 85.1, rel. 9, hkl 3 4 3



5.
Structure and computed powder XRD pattern of La5TbIn6 (a DFT-relaxed cell (GGA-PBE, Alexandria); Cu Kα X-rays).
Kinematic intensities with the Lorentz-polarization factor, no thermal factor.

Cell lengths 9.588, 16.687, 5.552 Å; angles 90.00, 125.34, 90.00 degrees
Space group C2/m (No. 12)
Unique sites:
La1 0.000 0.000 0.000
La2 0.000 0.163 0.500
La3 0.000 0.325 0.000
Tb1 0.000 0.500 0.500
In1 0.230 0.500 0.230
In2 0.240 0.338 0.740

Main lines, by angle (10° ≤ 2θ ≤ 90°):
2θ 32.2, rel. 51, hkl 2 0 -2; 2θ 32.3, rel. 100, hkl 1 3 1; 2θ 46.2, rel. 18, hkl 2 6 -2; 2θ 46.4, rel. 9, hkl 4 0 0; 2θ 57.5, rel. 27, hkl 1 3 -3; 2θ 57.6, rel. 23, hkl 5 3 -3; 2θ 67.5, rel. 8, hkl 4 0 -4; 2θ 67.6, rel. 5, hkl 6 6 -2; 2θ 76.7, rel. 11, hkl 4 6 -4; 2θ 77.1, rel. 7, hkl 5 3 1



6.
Structure and computed powder XRD pattern of RbHfCl5 (a DFT-relaxed cell (GGA-PBE, Alexandria); Cu Kα X-rays).
Kinematic intensities with the Lorentz-polarization factor, no thermal factor.

Cell lengths 12.149, 8.757, 10.017 Å; angles 90.00, 112.68, 90.00 degrees
Space group C2/c (No. 15)
Unique sites:
Rb1 0.000 0.038 0.250
Hf1 0.000 0.500 0.000
Cl1 0.000 0.435 0.250
Cl2 0.074 0.242 0.995
Cl3 0.201 0.406 0.611

Main lines, by angle (10° ≤ 2θ ≤ 90°):
2θ 12.8, rel. 71, hkl 1 1 0; 2θ 15.8, rel. 90, hkl 2 0 0; 2θ 20.3, rel. 34, hkl 0 2 0; 2θ 20.4, rel. 100, hkl 1 1 -2; 2θ 25.8, rel. 31, hkl 2 2 0; 2θ 26.3, rel. 21, hkl 3 1 -2; 2θ 35.9, rel. 24, hkl 2 0 -4; 2θ 38.1, rel. 23, hkl 4 2 0; 2θ 39.0, rel. 26, hkl 0 0 4; 2θ 41.6, rel. 21, hkl 2 2 -4



7.
Structure and computed powder XRD pattern of HfV12Ge6 (a DFT-relaxed cell (GGA-PBE, Alexandria); Cu Kα X-rays).
Kinematic intensities with the Lorentz-polarization factor, no thermal factor.

Cell lengths 11.0074, 11.0074, 8.4180 Å; angles 90.00, 90.00, 120.00 degrees
Space group R-3m (No. 166, hexagonal axes)
Unique sites:
Hf1 0.0000 0.0000 0.0000
V1 0.0000 0.3901 0.5000
V2 0.0826 0.1653 0.3193
Ge1 0.0267 0.5133 0.2459

Main lines, by angle (10° ≤ 2θ ≤ 90°):
2θ 26.9, rel. 46, hkl 2 1 1; 2θ 32.5, rel. 55, hkl 2 2 0; 2θ 32.7, rel. 42, hkl 1 2 2; 2θ 35.6, rel. 100, hkl 1 3 1; 2θ 35.9, rel. 79, hkl 1 1 3; 2θ 40.3, rel. 49, hkl 3 1 2; 2θ 43.6, rel. 22, hkl 0 4 2; 2θ 46.8, rel. 46, hkl 2 3 2; 2θ 47.2, rel. 69, hkl 0 2 4; 2θ 52.7, rel. 51, hkl 5 0 2